This entry pairs a crystal structure of MgMn4Ag4O16 with its simulated XRD peak list. Radiation: Cu Ka. Structure: a crystal structure in the Materials Project, relaxed with GGA+U.
Lines closer than 0.1° are merged.

Cell and atoms:
a = 5.911 Å, b = 7.611 Å, c = 8.661 Å
α = 92.79°, β = 93.30°, γ = 98.01°
Space group P1 (No. 1)
Asymmetric unit:
Mg1 0.000 0.000 0.000
Mn1 0.244 0.445 0.102
Mn2 0.304 0.230 0.595
Mn3 0.728 0.942 0.235
Mn4 0.829 0.733 0.693
Ag1 0.248 0.760 0.408
Ag2 0.401 0.852 0.858
Ag3 0.764 0.424 0.366
Ag4 0.799 0.285 0.829
O1 0.028 0.895 0.790
O2 0.059 0.287 0.635
O3 0.081 0.262 0.010
O4 0.112 0.497 0.261
O5 0.252 0.610 0.989
O6 0.266 0.056 0.476
O7 0.443 0.180 0.755
O8 0.457 0.394 0.518
O9 0.495 0.393 0.150
O10 0.565 0.763 0.287
O11 0.596 0.819 0.641
O12 0.663 0.986 0.044
O13 0.739 0.122 0.346
O14 0.776 0.573 0.810
O15 0.946 0.659 0.533
O16 0.999 0.897 0.207

Principal peaks in the range 2θ = 5–70°, sorted by position:
2θ (°)	intensity	(hkl)
20.48	58	-1 1 1
20.58	51	0 0 2
23.67	92	0 2 0
25.28	66	0 2 -1
26.35	48	0 2 1
27.13	92	-1 1 2
27.61	100	1 -1 2
28.00	77	1 1 -2
30.42	89	1 1 2
30.61	65	2 0 0

=====

This entry pairs a crystal structure of MgMn4Ag4O16 with its simulated XRD peak list. Radiation: Cu Ka. Structure: a crystal structure in the Materials Project, relaxed with GGA+U.
Lines closer than 0.1° are merged.

Cell and atoms:
a = 5.623 Å, b = 8.083 Å, c = 8.724 Å
α = 90.67°, β = 96.91°, γ = 96.97°
Space group P1 (No. 1)
Asymmetric unit:
Mg1 0.000 0.000 0.000
Mn1 0.115 0.996 0.411
Mn2 0.180 0.738 0.877
Mn3 0.663 0.500 0.313
Mn4 0.710 0.270 0.789
Ag1 0.111 0.368 0.146
Ag2 0.214 0.444 0.593
Ag3 0.573 0.943 0.186
Ag4 0.635 0.822 0.625
O1 0.155 0.172 0.511
O2 0.188 0.584 0.998
O3 0.304 0.709 0.711
O4 0.318 0.926 0.974
O5 0.382 0.927 0.401
O6 0.458 0.334 0.818
O7 0.497 0.335 0.229
O8 0.549 0.543 0.471
O9 0.656 0.656 0.199
O10 0.658 0.113 0.669
O11 0.859 0.210 0.955
O12 0.879 0.420 0.719
O13 0.895 0.809 0.849
O14 0.939 0.848 0.484
O15 0.943 0.458 0.354
O16 0.982 0.030 0.225

Principal peaks in the range 2θ = 5–70°, sorted by position:
2θ (°)	intensity	(hkl)
18.30	52	1 -1 0
22.17	76	0 2 0
24.50	46	1 0 -2
24.71	43	0 2 1
26.33	46	-1 1 2
27.54	59	1 1 -2
28.88	100	1 -1 2
30.82	79	1 1 2
32.32	52	2 0 0
35.42	49	0 3 1

=====

This entry pairs a crystal structure of MgNiAgO2 with its simulated XRD peak list. Radiation: Cu Ka. Structure: a crystal structure in the Materials Project, relaxed with GGA+U.
Lines closer than 0.1° are merged.

Cell and atoms:
a = 5.353 Å, b = 3.085 Å, c = 8.325 Å
α = 90.00°, β = 102.20°, γ = 90.00°
Space group Cm (No. 8)
Asymmetric unit:
Mg1 0.000 0.000 0.000
Ni1 0.111 0.000 0.324
Ag1 0.065 0.500 0.693
O1 0.201 0.500 0.104
O2 0.476 0.000 0.421

Principal peaks in the range 2θ = 5–70°, sorted by position:
2θ (°)	intensity	(hkl)
10.87	35	0 0 1
21.85	22	0 0 2
33.03	39	0 0 3
34.33	100	1 1 -1
36.69	30	2 0 -2
38.42	15	1 1 -2
42.61	43	1 1 2
53.73	17	1 1 -4
59.92	27	0 2 0
60.18	9	1 1 4

=====

This entry pairs a crystal structure of MgNiAgO2 with its simulated XRD peak list. Radiation: Cu Ka. Structure: a crystal structure in the Materials Project, relaxed with GGA+U.
Lines closer than 0.1° are merged.

Cell and atoms:
a = 3.1174 Å, b = 3.1174 Å, c = 23.7942 Å
α = 90.00°, β = 90.00°, γ = 120.00°
Space group R3m (No. 160, hexagonal axes)
Asymmetric unit:
Mg1 0.0000 0.0000 0.0000
Ni1 0.0000 0.0000 0.2309
Ag1 0.0000 0.0000 0.7715
O1 0.0000 0.0000 0.6333
O2 0.0000 0.0000 0.8646

Principal peaks in the range 2θ = 5–70°, sorted by position:
2θ (°)	intensity	(hkl)
11.16	42	0 0 3
22.42	40	0 0 6
33.40	35	1 0 1
33.91	54	0 0 9
34.05	100	0 1 2
36.55	82	1 0 4
38.33	57	0 1 5
45.37	43	0 1 8
59.28	44	1 1 0
61.18	33	1 0 13

=====

This entry pairs a crystal structure of MgNi2Ag2O4 with its simulated XRD peak list. Radiation: Cu Ka. Structure: a crystal structure in the Materials Project, relaxed with GGA+U.
Lines closer than 0.1° are merged.

Cell and atoms:
a = 3.0336 Å, b = 3.0336 Å, c = 14.2246 Å
α = 90.00°, β = 90.00°, γ = 120.00°
Space group P3m1 (No. 156)
Asymmetric unit:
Mg1 0.0000 0.0000 0.0000
Ni1 0.0000 0.0000 0.3938
Ni2 0.0000 0.0000 0.8175
Ag1 0.3333 0.6667 0.6098
Ag2 0.6667 0.3333 0.1709
O1 0.3333 0.6667 0.4643
O2 0.3333 0.6667 0.7568
O3 0.6667 0.3333 0.3255
O4 0.6667 0.3333 0.9340

Principal peaks in the range 2θ = 5–70°, sorted by position:
2θ (°)	intensity	(hkl)
6.21	26	0 0 1
25.04	24	0 0 4
31.45	41	0 0 5
34.72	100	1 0 1
36.46	80	0 1 2
39.20	45	1 0 3
42.79	22	0 1 4
51.95	25	0 1 6
57.32	30	1 0 7
61.10	35	1 1 0

=====

This entry pairs a crystal structure of MgNi2Ag2O4 with its simulated XRD peak list. Radiation: Cu Ka. Structure: a crystal structure in the Materials Project, relaxed with GGA+U.
Lines closer than 0.1° are merged.

Cell and atoms:
a = 3.0508 Å, b = 3.0508 Å, c = 14.0585 Å
α = 90.00°, β = 90.00°, γ = 120.00°
Space group P3m1 (No. 156)
Asymmetric unit:
Mg1 0.0000 0.0000 0.0000
Ni1 0.6667 0.3333 0.3982
Ni2 0.6667 0.3333 0.8261
Ag1 0.0000 0.0000 0.6161
Ag2 0.3333 0.6667 0.1731
O1 0.0000 0.0000 0.4689
O2 0.0000 0.0000 0.7647
O3 0.3333 0.6667 0.3297
O4 0.3333 0.6667 0.9363

Principal peaks in the range 2θ = 5–70°, sorted by position:
2θ (°)	intensity	(hkl)
6.29	22	0 0 1
25.34	31	0 0 4
31.83	41	0 0 5
34.54	100	1 0 1
36.32	98	0 1 2
39.14	59	1 0 3
47.21	27	1 0 5
52.18	24	0 1 6
57.65	32	1 0 7
60.71	40	1 1 0

=====

This entry pairs a crystal structure of MgVAgO4 with its simulated XRD peak list. Radiation: Cu Ka. Structure: a crystal structure in the Materials Project, relaxed with GGA+U.
Lines closer than 0.1° are merged.

Cell and atoms:
a = 9.580 Å, b = 6.817 Å, c = 5.398 Å
α = 90.00°, β = 90.00°, γ = 90.00°
Space group Pnma (No. 62)
Asymmetric unit:
Mg1 0.000 0.000 0.000
V1 0.179 0.250 0.475
Ag1 0.150 0.750 0.501
O1 0.115 0.051 0.314
O2 0.116 0.250 0.784
O3 0.133 0.750 0.940

Principal peaks in the range 2θ = 5–70°, sorted by position:
2θ (°)	intensity	(hkl)
18.87	43	1 0 1
26.15	61	0 2 0
32.24	31	2 2 0
32.44	57	1 2 1
32.58	100	3 0 1
33.19	40	0 0 2
40.59	38	2 1 2
42.24	38	3 2 1
42.74	34	0 2 2
58.87	33	3 0 3

=====

This entry pairs a crystal structure of MgV2Ag6O8 with its simulated XRD peak list. Radiation: Cu Ka. Structure: a crystal structure in the Materials Project, relaxed with GGA+U.
Lines closer than 0.1° are merged.

Cell and atoms:
a = 9.791 Å, b = 5.522 Å, c = 10.577 Å
α = 90.00°, β = 114.15°, γ = 90.00°
Space group C2 (No. 5)
Asymmetric unit:
Mg1 0.000 0.000 0.000
V1 0.000 0.499 0.000
V2 0.000 0.700 0.500
Ag1 0.019 0.175 0.293
Ag2 0.188 0.756 0.828
Ag3 0.234 0.604 0.340
O1 0.061 0.730 0.138
O2 0.090 0.510 0.642
O3 0.116 0.271 0.960
O4 0.131 0.889 0.469

Principal peaks in the range 2θ = 5–70°, sorted by position:
2θ (°)	intensity	(hkl)
18.39	16	0 0 2
19.15	16	1 1 -1
29.25	44	1 1 2
32.46	100	3 1 -2
34.23	39	2 0 -4
37.11	17	1 1 3
37.41	12	2 2 -1
37.53	11	0 2 2
43.18	15	0 2 3
45.83	11	1 1 4

=====

Which formula does entry 6 have? MgNi2Ag2O4

=====

What is the formula in the fifth record? MgNi2Ag2O4

=====

Copy entry 6 word for word.
This entry pairs a crystal structure of MgNi2Ag2O4 with its simulated XRD peak list. Radiation: Cu Ka. Structure: a crystal structure in the Materials Project, relaxed with GGA+U.
Lines closer than 0.1° are merged.

Cell and atoms:
a = 3.0508 Å, b = 3.0508 Å, c = 14.0585 Å
α = 90.00°, β = 90.00°, γ = 120.00°
Space group P3m1 (No. 156)
Asymmetric unit:
Mg1 0.0000 0.0000 0.0000
Ni1 0.6667 0.3333 0.3982
Ni2 0.6667 0.3333 0.8261
Ag1 0.0000 0.0000 0.6161
Ag2 0.3333 0.6667 0.1731
O1 0.0000 0.0000 0.4689
O2 0.0000 0.0000 0.7647
O3 0.3333 0.6667 0.3297
O4 0.3333 0.6667 0.9363

Principal peaks in the range 2θ = 5–70°, sorted by position:
2θ (°)	intensity	(hkl)
6.29	22	0 0 1
25.34	31	0 0 4
31.83	41	0 0 5
34.54	100	1 0 1
36.32	98	0 1 2
39.14	59	1 0 3
47.21	27	1 0 5
52.18	24	0 1 6
57.65	32	1 0 7
60.71	40	1 1 0